Structure and simulated X-ray diffraction stick pattern of Li2MnNi3O8 (a PBE+U-relaxed structure; Cu Kα X-rays).
Lines closer than 0.1° are merged.

Structure:
a b c (Å): 8.118 8.202 8.208
angles (deg): 89.88 89.97 89.93
Element x y z (fractional)
Li (0.000, 0.000, 0.000)
Li (0.002, 0.501, 0.503)
Li (0.246, 0.754, 0.251)
Li (0.250, 0.250, 0.750)
Li (0.498, 0.001, 0.496)
Li (0.501, 0.498, 0.000)
Li (0.748, 0.249, 0.247)
Li (0.752, 0.748, 0.747)
Mn (0.124, 0.373, 0.124)
Mn (0.375, 0.871, 0.875)
Mn (0.622, 0.621, 0.369)
Mn (0.872, 0.124, 0.623)
Ni (0.124, 0.127, 0.376)
Ni (0.124, 0.628, 0.878)
Ni (0.126, 0.879, 0.627)
Ni (0.375, 0.378, 0.368)
Ni (0.375, 0.626, 0.623)
Ni (0.376, 0.126, 0.123)
Ni (0.623, 0.373, 0.622)
Ni (0.626, 0.872, 0.123)
Ni (0.628, 0.121, 0.876)
Ni (0.872, 0.876, 0.375)
Ni (0.874, 0.371, 0.877)
Ni (0.876, 0.624, 0.126)
O (0.106, 0.611, 0.120)
O (0.107, 0.111, 0.623)
O (0.108, 0.381, 0.891)
O (0.114, 0.898, 0.392)
O (0.136, 0.143, 0.129)
O (0.140, 0.360, 0.362)
O (0.142, 0.646, 0.636)
O (0.142, 0.873, 0.861)
O (0.357, 0.639, 0.874)
O (0.359, 0.373, 0.139)
O (0.368, 0.146, 0.353)
O (0.380, 0.859, 0.644)
O (0.387, 0.388, 0.600)
O (0.387, 0.607, 0.372)
O (0.393, 0.111, 0.890)
O (0.394, 0.878, 0.110)
O (0.604, 0.390, 0.369)
O (0.613, 0.610, 0.604)
O (0.616, 0.887, 0.891)
O (0.619, 0.101, 0.108)
O (0.628, 0.857, 0.353)
O (0.632, 0.138, 0.643)
O (0.641, 0.641, 0.132)
O (0.642, 0.350, 0.874)
O (0.856, 0.123, 0.858)
O (0.858, 0.626, 0.357)
O (0.859, 0.360, 0.638)
O (0.862, 0.857, 0.142)
O (0.871, 0.891, 0.602)
O (0.882, 0.123, 0.392)
O (0.886, 0.393, 0.116)
O (0.892, 0.620, 0.896)

Most intense lines, 2θ from 10° to 80°, low angle first:
hkl	2θ (°)	I (rel.)
1 -1 1	18.80	100
1 3 1	36.35	32
3 -1 1	36.65	16
2 2 2	38.13	14
0 4 0	44.15	35
4 0 0	44.65	17
3 -1 3	48.62	7
1 5 1	58.46	11
5 -1 1	59.09	6
0 4 4	64.14	5
0 4 -4	64.29	5
4 0 -4	64.60	21

Structure and simulated X-ray diffraction stick pattern of CsMg6WO8 (a PBE+U-relaxed structure; Cu Kα X-rays).
Lines closer than 0.1° are merged.

Structure:
a b c (Å): 4.648 4.648 9.321
angles (deg): 90.00 90.00 90.00
Element x y z (fractional)
Cs (0.000, 0.000, 0.000)
Mg (0.000, 0.500, 0.248)
Mg (0.000, 0.500, 0.752)
Mg (0.500, 0.000, 0.248)
Mg (0.500, 0.000, 0.752)
Mg (0.500, 0.500, 0.000)
Mg (0.500, 0.500, 0.500)
W (0.000, 0.000, 0.500)
O (0.000, 0.000, 0.277)
O (0.000, 0.000, 0.723)
O (0.000, 0.500, 0.000)
O (0.000, 0.500, 0.500)
O (0.500, 0.000, 0.000)
O (0.500, 0.000, 0.500)
O (0.500, 0.500, 0.251)
O (0.500, 0.500, 0.749)

Most intense lines, 2θ from 10° to 80°, low angle first:
hkl	2θ (°)	I (rel.)
0 0 2	19.08	100
1 0 2	27.11	87
1 1 2	33.36	55
0 0 4	38.64	29
2 0 0	38.74	59
2 0 2	43.50	48
2 1 2	47.90	37
2 2 0	55.90	55
0 0 6	59.59	14
3 1 2	66.73	18
2 2 4	70.06	18
2 1 6	76.60	13

Structure and simulated X-ray diffraction stick pattern of SrCrO4 (a PBE+U-relaxed structure; Cu Kα X-rays).
Lines closer than 0.1° are merged.

Structure:
a b c (Å): 7.429 7.912 7.314
angles (deg): 90.00 94.63 90.00
Element x y z (fractional)
Sr (0.132, 0.058, 0.276)
Sr (0.132, 0.442, 0.776)
Sr (0.868, 0.558, 0.224)
Sr (0.868, 0.942, 0.724)
Cr (0.320, 0.546, 0.249)
Cr (0.320, 0.954, 0.749)
Cr (0.680, 0.046, 0.251)
Cr (0.680, 0.454, 0.751)
O (0.166, 0.548, 0.445)
O (0.166, 0.952, 0.945)
O (0.171, 0.602, 0.060)
O (0.171, 0.898, 0.560)
O (0.179, 0.125, 0.862)
O (0.179, 0.375, 0.362)
O (0.460, 0.087, 0.261)
O (0.460, 0.413, 0.761)
O (0.540, 0.587, 0.239)
O (0.540, 0.913, 0.739)
O (0.821, 0.625, 0.638)
O (0.821, 0.875, 0.138)
O (0.829, 0.102, 0.440)
O (0.829, 0.398, 0.940)
O (0.834, 0.048, 0.055)
O (0.834, 0.452, 0.555)

Most intense lines, 2θ from 10° to 80°, low angle first:
hkl	2θ (°)	I (rel.)
1 0 0	11.95	42
0 2 0	22.47	100
0 0 2	24.42	73
0 2 1	25.61	79
2 1 -1	28.47	48
2 1 1	30.14	52
0 2 2	33.43	38
2 1 -3	44.41	26
0 4 1	47.63	32
2 1 3	47.80	23
2 3 -2	48.15	20
0 2 4	55.52	17

Repeat the second record exactly.
Structure and simulated X-ray diffraction stick pattern of CsMg6WO8 (a PBE+U-relaxed structure; Cu Kα X-rays).
Lines closer than 0.1° are merged.

Structure:
a b c (Å): 4.648 4.648 9.321
angles (deg): 90.00 90.00 90.00
Element x y z (fractional)
Cs (0.000, 0.000, 0.000)
Mg (0.000, 0.500, 0.248)
Mg (0.000, 0.500, 0.752)
Mg (0.500, 0.000, 0.248)
Mg (0.500, 0.000, 0.752)
Mg (0.500, 0.500, 0.000)
Mg (0.500, 0.500, 0.500)
W (0.000, 0.000, 0.500)
O (0.000, 0.000, 0.277)
O (0.000, 0.000, 0.723)
O (0.000, 0.500, 0.000)
O (0.000, 0.500, 0.500)
O (0.500, 0.000, 0.000)
O (0.500, 0.000, 0.500)
O (0.500, 0.500, 0.251)
O (0.500, 0.500, 0.749)

Most intense lines, 2θ from 10° to 80°, low angle first:
hkl	2θ (°)	I (rel.)
0 0 2	19.08	100
1 0 2	27.11	87
1 1 2	33.36	55
0 0 4	38.64	29
2 0 0	38.74	59
2 0 2	43.50	48
2 1 2	47.90	37
2 2 0	55.90	55
0 0 6	59.59	14
3 1 2	66.73	18
2 2 4	70.06	18
2 1 6	76.60	13